No. 1
For SrNiHg2, a GGA-PBE-relaxed structure gives the calculated X-ray diffraction stick pattern in this record (λ = 1.5418 Å (Cu Kα)).

Atomic structure:
a = 5.089 Å, b = 5.089 Å, c = 5.089 Å
α = 60.00°, β = 60.00°, γ = 60.00°
Atoms (fractional coordinates):
Sr 0.000 0.000 0.000
Ni 0.750 0.750 0.750
Hg 0.250 0.250 0.250
Hg 0.500 0.500 0.500

Most intense lines, 5° ≤ 2θ ≤ 70°, in order of rising 2θ:
21.38 deg, rel. 22.3
35.27 deg, rel. 100.0
41.62 deg, rel. 13.0
50.74 deg, rel. 17.8
55.67 deg, rel. 5.8
63.31 deg, rel. 36.7
67.64 deg, rel. 4.4

No. 2
For Hg2OsO4, a GGA-PBE-relaxed structure gives the calculated X-ray diffraction stick pattern in this record (λ = 1.5418 Å (Cu Kα)).

Atomic structure:
a = 8.100 Å, b = 7.408 Å, c = 6.105 Å
α = 72.94°, β = 60.96°, γ = 46.10°
Atoms (fractional coordinates):
Hg 0.015 0.735 0.015
Hg 0.265 0.985 0.265
Hg 0.735 0.015 0.735
Hg 0.985 0.265 0.985
Os 0.375 0.375 0.375
Os 0.625 0.625 0.625
O 0.152 0.709 0.356
O 0.284 0.356 0.709
O 0.291 0.848 0.716
O 0.356 0.284 0.152
O 0.644 0.716 0.848
O 0.709 0.152 0.284
O 0.716 0.644 0.291
O 0.848 0.291 0.644

Most intense lines, 5° ≤ 2θ ≤ 70°, in order of rising 2θ:
27.66 deg, rel. 58.7
28.14 deg, rel. 100.0
30.79 deg, rel. 69.8
36.69 deg, rel. 42.8
46.56 deg, rel. 30.4
47.17 deg, rel. 25.5
49.21 deg, rel. 24.8
51.49 deg, rel. 19.2

No. 3
For Hg3PO4, a GGA-PBE-relaxed structure gives the calculated X-ray diffraction stick pattern in this record (λ = 1.5418 Å (Cu Kα)).

Atomic structure:
a = 7.975 Å, b = 8.104 Å, c = 9.996 Å
α = 90.00°, β = 119.27°, γ = 90.00°
Atoms (fractional coordinates):
Hg 0.062 0.216 0.068
Hg 0.062 0.284 0.568
Hg 0.359 0.047 0.121
Hg 0.359 0.453 0.621
Hg 0.360 0.600 0.969
Hg 0.360 0.900 0.469
Hg 0.640 0.100 0.531
Hg 0.640 0.400 0.031
Hg 0.641 0.547 0.379
Hg 0.641 0.953 0.879
Hg 0.938 0.716 0.432
Hg 0.938 0.784 0.932
P 0.198 0.563 0.246
P 0.198 0.937 0.746
P 0.802 0.063 0.254
P 0.802 0.437 0.754
O 0.006 0.030 0.662
O 0.006 0.470 0.162
O 0.200 0.664 0.382
O 0.200 0.836 0.882
O 0.234 0.687 0.143
O 0.234 0.813 0.643
O 0.366 0.066 0.818
O 0.366 0.434 0.318
O 0.634 0.566 0.682
O 0.634 0.934 0.182
O 0.766 0.187 0.357
O 0.766 0.313 0.857
O 0.800 0.164 0.118
O 0.800 0.336 0.618
O 0.994 0.530 0.838
O 0.994 0.970 0.338

Most intense lines, 5° ≤ 2θ ≤ 70°, in order of rising 2θ:
20.37 deg, rel. 44.9
23.17 deg, rel. 55.6
24.97 deg, rel. 50.0
25.44 deg, rel. 66.3
29.05 deg, rel. 100.0
29.74 deg, rel. 32.5
32.49 deg, rel. 38.6
33.76 deg, rel. 31.1

No. 4
For Hg3PO4, a GGA-PBE-relaxed structure gives the calculated X-ray diffraction stick pattern in this record (λ = 1.5418 Å (Cu Kα)).

Atomic structure:
a = 8.565 Å, b = 5.023 Å, c = 14.356 Å
α = 90.00°, β = 122.02°, γ = 90.00°
Atoms (fractional coordinates):
Hg 0.051 0.137 0.088
Hg 0.051 0.363 0.588
Hg 0.268 0.153 0.454
Hg 0.268 0.347 0.954
Hg 0.433 0.661 0.122
Hg 0.433 0.839 0.622
Hg 0.567 0.161 0.378
Hg 0.567 0.339 0.878
Hg 0.732 0.653 0.046
Hg 0.732 0.847 0.546
Hg 0.949 0.637 0.412
Hg 0.949 0.863 0.912
P 0.238 0.632 0.275
P 0.238 0.868 0.775
P 0.762 0.132 0.225
P 0.762 0.368 0.725
O 0.070 0.528 0.166
O 0.070 0.972 0.666
O 0.229 0.546 0.376
O 0.229 0.954 0.876
O 0.238 0.558 0.771
O 0.238 0.942 0.271
O 0.420 0.528 0.285
O 0.420 0.972 0.785
O 0.580 0.028 0.215
O 0.580 0.472 0.715
O 0.762 0.058 0.729
O 0.762 0.442 0.229
O 0.771 0.046 0.124
O 0.771 0.454 0.624
O 0.930 0.028 0.334
O 0.930 0.472 0.834

Most intense lines, 5° ≤ 2θ ≤ 70°, in order of rising 2θ:
14.56 deg, rel. 38.8
20.51 deg, rel. 29.9
29.57 deg, rel. 100.0
31.72 deg, rel. 64.1
31.96 deg, rel. 71.8
36.53 deg, rel. 35.5
41.84 deg, rel. 28.6
42.33 deg, rel. 36.7